# Mn3NbF6
Computed PXRD pattern, Cu Kα X-rays. Input: a DFT-relaxed cell (GGA+U, the Materials Project).

Cell lengths 6.025, 7.587, 7.610 Å; angles 82.38, 69.97, 67.14 degrees
Atoms (fractional coordinates):
Mn 0.000 0.000 0.000
Mn 0.000 0.500 0.500
Mn 0.500 0.000 0.000
Nb 0.500 0.500 0.000
F 0.204 0.704 0.931
F 0.287 0.493 0.289
F 0.410 0.288 0.932
F 0.590 0.712 0.068
F 0.713 0.507 0.711
F 0.796 0.296 0.069

Largest 8 diffraction maxima, by angle, 5 to 70 degrees two-theta:
2θ (°)	I/Imax
12.4	100
12.7	21
17.5	33
17.6	32
24.0	22
24.9	33
25.5	21
36.0	16